Structure and simulated X-ray powder pattern of SrPrHg17 (a DFT-relaxed cell (PBE, Alexandria); Cu Kα, 1.54184 Å).

Principal peaks in the range 10 to 80 degrees two-theta, low angle first:
d (Å)	2theta	I/Imax	h k l
3.109	28.72	158	0 2 4
2.987	29.92	213	0 0 6
2.878	31.08	309	3 0 0
2.757	32.47	168	2 0 5
2.593	34.60	1000	0 3 3
2.562	35.02	144	1 1 6
2.413	37.27	117	1 2 5
1.662	55.29	184	3 3 0
1.637	56.18	121	0 3 9
1.452	64.14	125	3 3 6

Structure:
Unit cell a=9.9693 b=9.9693 c=17.9196 alpha=90.00 beta=90.00 gamma=120.00
Space group R3m (No. 160, hexagonal axes)
Symmetry-distinct sites (fractional):
Sr 0.0000 0.0000 0.0000
Pr 0.0000 0.0000 0.6874
Hg 0.0000 0.0000 0.3043
Hg 0.0000 0.0000 0.4718
Hg 0.0013 0.3084 0.3623
Hg 0.0458 0.5229 0.2290
Hg 0.0959 0.5479 0.5006
Hg 0.0970 0.5485 0.8430



Structure and simulated X-ray powder pattern of K2HgPtF6 (a DFT-relaxed cell (PBE, Alexandria); Cu Kα, 1.54184 Å).

Principal peaks in the range 10 to 80 degrees two-theta, low angle first:
d (Å)	2theta	I/Imax	h k l
4.774	18.59	952	0 1 -1
4.661	19.04	521	-1 1 1
3.491	25.51	398	0 1 1
3.376	26.40	1000	1 1 -1
3.341	26.69	335	1 0 -2
3.328	26.79	340	1 -2 0
3.199	27.89	370	-2 1 1
2.818	31.76	262	0 0 2
2.387	37.69	269	0 2 -2
2.001	45.31	249	1 0 2

Structure:
Unit cell a=6.399 b=6.671 c=6.696 alpha=91.14 beta=117.83 gamma=117.72
Space group P-1 (No. 2)
Symmetry-distinct sites (fractional):
K 0.001 0.226 0.275
Hg 0.500 0.500 0.000
Pt 0.500 0.000 0.500
F 0.208 0.956 0.179
F 0.242 0.681 0.493
F 0.349 0.128 0.630



Structure and simulated X-ray powder pattern of Be3N2 (a DFT-relaxed cell (PBE, Alexandria); Cu Kα, 1.54184 Å).

Principal peaks in the range 10 to 80 degrees two-theta, low angle first:
d (Å)	2theta	I/Imax	h k l
2.467	36.42	92	1 0 0
2.441	36.82	519	0 0 4
2.392	37.61	1000	1 0 1
2.202	40.99	291	1 0 2
1.735	52.76	255	1 0 4
1.531	60.47	215	1 0 5
1.424	65.54	505	1 1 0
1.358	69.16	128	1 0 6
1.230	77.62	175	1 1 4
1.224	78.10	73	2 0 1

Structure:
Unit cell a=2.8484 b=2.8484 c=9.7631 alpha=90.00 beta=90.00 gamma=120.00
Space group P6_3/mmc (No. 194)
Symmetry-distinct sites (fractional):
Be 0.0000 0.0000 0.2500
Be 0.3333 0.6667 0.0783
N 0.0000 0.0000 0.0000
N 0.3333 0.6667 0.2500



Structure and simulated X-ray powder pattern of Nd14YTl (a DFT-relaxed cell (PBE, Alexandria); Cu Kα, 1.54184 Å).

Principal peaks in the range 10 to 80 degrees two-theta, low angle first:
d (Å)	2theta	I/Imax	h k l
2.971	30.08	1000	2 2 2
2.584	34.72	170	4 0 0
2.567	34.95	336	0 4 0
1.821	50.09	241	4 4 0
1.815	50.26	120	0 4 4
1.556	59.39	144	6 2 2
1.549	59.70	286	2 6 2
1.485	62.53	124	4 4 4
1.292	73.28	19	8 0 0
1.284	73.82	38	0 8 0

Structure:
Unit cell a=10.335 b=10.269 c=10.269 alpha=90.00 beta=90.00 gamma=90.00
Space group Amm2 (No. 38)
Symmetry-distinct sites (fractional):
Nd 0.000 0.000 0.000
Nd 0.000 0.000 0.500
Nd 0.000 0.250 0.250
Nd 0.254 0.000 0.248
Nd 0.254 0.249 0.000
Nd 0.255 0.000 0.751
Nd 0.500 0.249 0.249
Y 0.500 0.000 0.500
Tl 0.500 0.000 0.000